Diffraction record for ZrI4. The powder diffractogram is computed, not measured: it uses DFT lattice parameters and positions (GGA-PBE) and Cu Kα X-rays.

Largest 12 diffraction maxima, by angle, 2θ = 10–90°:
| 2θ/deg | I/Imax | hkl |
| --- | --- | --- |
| 10.14 | 19 | 1 0 0 |
| 11.13 | 14 | 0 1 1 |
| 24.53 | 35 | 2 0 2 |
| 24.95 | 66 | 0 2 3 |
| 25.06 | 34 | 2 0 -4 |
| 28.38 | 100 | 2 2 -1 |
| 29.62 | 48 | 0 0 6 |
| 40.36 | 16 | 4 0 -2 |
| 40.77 | 21 | 0 4 0 |
| 41.15 | 33 | 2 2 5 |
| 41.82 | 32 | 2 2 -7 |
| 51.19 | 17 | 0 4 6 |

Crystal structure
Cell: 8.9401 8.8520 18.5483 Å, 90.00 102.70 90.00°
Fractional positions:
Zr  0.0000  0.1103  0.2500
Zr  0.0000  0.8897  0.7500
Zr  0.1897  0.3788  0.0825
Zr  0.1897  0.6212  0.5825
Zr  0.8103  0.3788  0.4175
Zr  0.8103  0.6212  0.9175
I  0.0655  0.3832  0.9242
I  0.0655  0.6168  0.4242
I  0.0720  0.1592  0.4086
I  0.0720  0.8408  0.9086
I  0.2199  0.3739  0.2415
I  0.2199  0.6261  0.7415
I  0.2360  0.0891  0.7585
I  0.2360  0.9109  0.2585
I  0.3795  0.1422  0.0722
I  0.3795  0.8578  0.5722
I  0.3968  0.3914  0.5924
I  0.3968  0.6086  0.0924
I  0.6032  0.3914  0.9076
I  0.6032  0.6086  0.4076
I  0.6205  0.1422  0.4278
I  0.6205  0.8578  0.9278
I  0.7640  0.0891  0.7415
I  0.7640  0.9109  0.2415
I  0.7801  0.3739  0.2585
I  0.7801  0.6261  0.7585
I  0.9280  0.1592  0.0914
I  0.9280  0.8408  0.5914
I  0.9345  0.3832  0.5758
I  0.9345  0.6168  0.0758